1.
Calculated powder XRD pattern
Compound: ErTiFe8Co3
Radiation: Cu Kα (weighted mean of Kα1 and Kα2)
Structure: DFT lattice parameters and positions (GGA-PBE)

Peak list (8 most intense, 2θ = 10–80°, by intensity)
2θ (°)	Rel. int.	(hkl)
43.3	100.0	1 3 2
44.1	69.9	2 0 2
43.0	58.0	0 0 4
37.3	47.1	1 3 0
30.4	39.6	1 2 1
49.4	21.2	2 2 2
72.6	19.9	3 3 2
79.1	18.1	1 3 6

Structure:
a = 4.707 Å, b = 8.402 Å, c = 8.412 Å
α = 90.00°, β = 90.00°, γ = 90.00°
Space group Imm2 (No. 44)
One atom of each set of equivalent atoms:
Er 0.000 0.000 0.000
Ti 0.000 0.000 0.618
Fe 0.000 0.284 0.495
Fe 0.000 0.500 0.269
Fe 0.000 0.500 0.729
Fe 0.250 0.249 0.247
Co 0.000 0.000 0.345
Co 0.000 0.357 0.998

2.
Calculated powder XRD pattern
Compound: Pr8Nd5Th
Radiation: Cu Kα (weighted mean of Kα1 and Kα2)
Structure: DFT lattice parameters and positions (GGA-PBE)

Peak list (8 most intense, 2θ = 10–80°, by intensity)
2θ (°)	Rel. int.	(hkl)
29.6	100.0	0 2 1
34.3	33.9	2 0 1
49.3	30.4	0 1 4
58.6	28.9	2 2 2
34.3	16.9	-2 1 3
79.9	8.7	0 3 5
58.5	7.3	2 -5 2
58.6	7.2	4 0 -5

Structure:
a = 7.385 Å, b = 8.279 Å, c = 9.772 Å
α = 104.72°, β = 112.12°, γ = 102.94°
Space group P1 (No. 1)
One atom of each set of equivalent atoms:
Pr 0.000 0.000 0.000
Pr 0.072 0.564 0.861
Pr 0.213 0.702 0.567
Pr 0.354 0.846 0.285
Pr 0.431 0.422 0.142
Pr 0.508 0.999 0.000
Pr 0.648 0.142 0.717
Pr 0.861 0.844 0.284
Nd 0.144 0.136 0.712
Nd 0.282 0.281 0.424
Nd 0.579 0.562 0.861
Nd 0.716 0.707 0.572
Nd 0.790 0.280 0.423
Th 0.931 0.422 0.143

3.
Calculated powder XRD pattern
Compound: Er2Tm3Zn3
Radiation: Cu Kα (weighted mean of Kα1 and Kα2)
Structure: DFT lattice parameters and positions (GGA-PBE)

Peak list (8 most intense, 2θ = 10–80°, by intensity)
2θ (°)	Rel. int.	(hkl)
35.2	100.0	0 2 0
27.4	15.6	0 1 5
33.9	15.4	0 0 8
63.2	14.2	1 3 4
49.7	10.5	0 2 8
63.9	7.6	2 2 0
51.4	7.4	2 0 0
25.4	7.1	1 0 1

Structure:
a = 3.555 Å, b = 5.094 Å, c = 21.170 Å
α = 90.00°, β = 90.00°, γ = 90.00°
Space group Immm (No. 71)
One atom of each set of equivalent atoms:
Er 0.000 0.000 0.229
Tm 0.000 0.000 0.000
Tm 0.000 0.500 0.118
Zn 0.000 0.000 0.500
Zn 0.000 0.500 0.385

4.
Calculated powder XRD pattern
Compound: Sm3In2Pb
Radiation: Cu Kα (weighted mean of Kα1 and Kα2)
Structure: DFT lattice parameters and positions (GGA-PBE)

Peak list (8 most intense, 2θ = 10–80°, by intensity)
2θ (°)	Rel. int.	(hkl)
32.1	100.0	1 3 1
35.4	19.3	0 6 0
35.5	19.1	2 0 0
61.7	15.4	3 3 1
61.5	15.3	1 9 1
51.0	13.6	2 6 0
40.7	13.2	0 0 2
67.2	11.8	2 6 2

Structure:
a = 5.052 Å, b = 15.226 Å, c = 4.433 Å
α = 90.00°, β = 90.00°, γ = 90.00°
Space group Pmmn (No. 59, origin choice 2)
One atom of each set of equivalent atoms:
Sm 0.250 0.083 0.000
Sm 0.250 0.750 0.001
In 0.250 0.579 0.500
Pb 0.250 0.250 0.500

5.
Calculated powder XRD pattern
Compound: La3Ce2Si3
Radiation: Cu Kα (weighted mean of Kα1 and Kα2)
Structure: DFT lattice parameters and positions (GGA-PBE)

Peak list (8 most intense, 2θ = 10–80°, by intensity)
2θ (°)	Rel. int.	(hkl)
34.6	100.0	3 0 0
30.4	46.3	2 1 0
33.6	46.2	2 1 1
24.3	34.5	1 1 1
53.4	25.1	3 2 1
22.9	21.1	2 0 0
49.8	18.3	2 2 2
55.4	18.1	4 0 2

Structure:
a = 8.9743 Å, b = 8.9743 Å, c = 6.3524 Å
α = 90.00°, β = 90.00°, γ = 120.00°
Space group P6_3/mcm (No. 193)
One atom of each set of equivalent atoms:
La 0.0000 0.2629 0.2500
Ce 0.3333 0.6667 0.0000
Si 0.0000 0.3880 0.7500

6.
Calculated powder XRD pattern
Compound: RbInAgSe2
Radiation: Cu Kα (weighted mean of Kα1 and Kα2)
Structure: DFT lattice parameters and positions (GGA-PBE)

Peak list (8 most intense, 2θ = 10–80°, by intensity)
2θ (°)	Rel. int.	(hkl)
26.5	100.0	1 3 1
38.7	91.9	2 4 1
30.9	89.7	0 2 2
32.0	79.5	2 2 1
12.1	77.2	0 2 0
36.4	47.4	1 5 1
29.5	47.1	2 0 1
37.8	45.7	0 4 2

Structure:
a = 6.895 Å, b = 14.579 Å, c = 6.298 Å
α = 90.00°, β = 90.00°, γ = 90.00°
Space group Cmme (No. 67)
One atom of each set of equivalent atoms:
Rb 0.000 0.250 0.235
In 0.250 0.000 0.500
Ag 0.000 0.000 0.000
Se 0.000 0.127 0.730

7.
Calculated powder XRD pattern
Compound: Li5Tl2Pd5
Radiation: Cu Kα (weighted mean of Kα1 and Kα2)
Structure: DFT lattice parameters and positions (GGA-PBE)

Peak list (8 most intense, 2θ = 10–80°, by intensity)
2θ (°)	Rel. int.	(hkl)
23.6	100.0	1 1 0
38.8	57.7	3 1 1
39.2	56.2	3 1 -3
44.3	19.9	0 0 4
44.8	19.3	0 2 0
30.0	18.2	2 0 -3
47.0	16.7	6 0 -2
67.0	13.1	6 2 -2

Structure:
a = 11.604 Å, b = 4.043 Å, c = 9.002 Å
α = 90.00°, β = 114.60°, γ = 90.00°
Space group C2/m (No. 12)
One atom of each set of equivalent atoms:
Li 0.000 0.000 0.000
Li 0.103 0.000 0.760
Li 0.162 0.000 0.508
Tl 0.084 0.500 0.253
Pd 0.000 0.500 0.500
Pd 0.164 0.500 0.996
Pd 0.249 0.500 0.749

8.
Calculated powder XRD pattern
Compound: AlAg2Hg
Radiation: Cu Kα (weighted mean of Kα1 and Kα2)
Structure: DFT lattice parameters and positions (GGA-PBE)

Peak list (8 most intense, 2θ = 10–80°, by intensity)
2θ (°)	Rel. int.	(hkl)
36.6	100.0	1 1 1
37.4	93.5	2 0 -2
42.4	65.9	3 1 -1
18.4	38.0	2 0 0
44.1	28.7	2 0 2
73.3	25.3	2 2 -2
62.9	21.0	1 1 -3
62.8	19.3	5 1 1

Structure:
a = 9.809 Å, b = 3.064 Å, c = 5.061 Å
α = 90.00°, β = 101.05°, γ = 90.00°
Space group Cm (No. 8)
One atom of each set of equivalent atoms:
Al 0.000 0.000 0.000
Ag 0.008 0.500 0.525
Ag 0.263 0.000 0.770
Hg 0.248 0.500 0.259